1.
The following is a theoretical X-ray powder pattern of YNp2S5. It was derived from a DFT-relaxed cell (PBE, Alexandria), using Cu Kα (weighted mean of Kα1 and Kα2).
Kinematic intensities with the Lorentz-polarization factor, no thermal factor.

Top 8 peaks for 10° ≤ 2θ ≤ 90°, low angle first:
d/Å  2theta  I/Imax
3.915  22.71  34
3.781  23.53  64
3.466  25.70  100
3.333  26.75  48
3.254  27.41  44
2.595  34.56  68
2.466  36.43  77
1.941  46.79  39

Structure:
```
16
Lattice="7.5624 0.0000 0.0000 0.0000 11.7002 0.0000 0.0000 0.0000 3.9155" Properties=species:S:1:pos:R:3 pbc="T T T"
Y 0.0000 0.0000 0.0000
Y 3.7812 5.8501 0.0000
Np 0.2026 3.7767 1.9577
Np 3.5786 9.6268 1.9577
Np 3.9838 2.0734 1.9577
Np 7.3598 7.9235 1.9577
S 0.0000 5.8501 0.0000
S 1.3188 1.2312 1.9577
S 1.3759 9.3360 0.0000
S 2.4053 3.4858 0.0000
S 2.4624 7.0813 1.9577
S 3.7812 0.0000 0.0000
S 5.1000 4.6189 1.9577
S 5.1571 8.2144 0.0000
S 6.1865 2.3643 0.0000
S 6.2437 10.4690 1.9577
```


2.
The following is a theoretical X-ray powder pattern of Y4Np2S9. It was derived from a DFT-relaxed cell (PBE, Alexandria), using Cu Kα (weighted mean of Kα1 and Kα2).
Kinematic intensities with the Lorentz-polarization factor, no thermal factor.

Top 8 peaks for 10° ≤ 2θ ≤ 90°, low angle first:
d/Å  2theta  I/Imax
6.021  14.71  49
5.057  17.54  45
3.685  24.15  100
3.476  25.63  89
2.529  35.50  49
2.317  38.88  83
2.045  44.30  49
2.007  45.18  48

Structure:
```
30
Lattice="6.9519 0.0000 0.0000 -3.4759 6.0205 0.0000 0.0000 0.0000 18.6425" Properties=species:S:1:pos:R:3 pbc="T T T"
Y 0.0000 4.0137 3.4241
Y 0.0000 4.0137 9.0200
Y 0.0000 4.0137 12.7453
Y 0.0000 4.0137 18.3413
Y 3.4759 2.0068 0.3013
Y 3.4759 2.0068 5.8972
Y 3.4759 2.0068 9.6225
Y 3.4759 2.0068 15.2185
Np 0.0000 0.0000 2.7891
Np 0.0000 0.0000 6.5321
Np 0.0000 0.0000 12.1104
Np 0.0000 0.0000 15.8534
S -1.0443 1.8088 4.6606
S -2.4316 4.2117 13.9819
S -1.0711 2.2326 10.8826
S -2.0780 3.9766 1.5613
S 2.0886 0.0000 4.6606
S 1.0443 1.8088 13.9819
S 1.0711 2.2326 1.5613
S -1.0069 5.8318 10.8826
S 2.4691 0.1887 17.0812
S 1.3979 2.0439 7.7600
S 2.0780 3.9766 10.8826
S 1.0069 5.8318 1.5613
S 4.4828 0.1887 7.7600
S 2.4048 3.7879 17.0812
S 4.8633 0.0000 13.9819
S 2.4316 4.2117 4.6606
S 5.5539 2.0439 17.0812
S 4.5471 3.7879 7.7600
```


3.
The following is a theoretical X-ray powder pattern of Y4NpS5. It was derived from a DFT-relaxed cell (PBE, Alexandria), using Cu Kα (weighted mean of Kα1 and Kα2).
Kinematic intensities with the Lorentz-polarization factor, no thermal factor.

Top 8 peaks for 10° ≤ 2θ ≤ 90°, low angle first:
d/Å  2theta  I/Imax
3.198  27.90  60
2.769  32.33  100
1.958  46.37  71
1.670  54.99  29
1.599  57.65  26
1.271  74.71  12
1.239  76.97  21
1.131  85.99  24

Structure:
```
10
Lattice="-1.9570 1.9570 13.8629 1.9570 -1.9570 13.8629 1.9570 1.9570 -13.8629" Properties=species:S:1:pos:R:3 pbc="T T T"
Y 0.0000 0.0000 2.7583
Y 0.0000 0.0000 8.3447
Y 0.0000 0.0000 19.3811
Y 0.0000 0.0000 24.9674
Np 0.0000 0.0000 13.8629
S 0.0000 0.0000 0.0000
S 0.0000 0.0000 5.5521
S 0.0000 0.0000 11.0841
S 0.0000 0.0000 16.6416
S 0.0000 0.0000 22.1736
```


4.
The following is a theoretical X-ray powder pattern of Y4Np3S8. It was derived from a DFT-relaxed cell (PBE, Alexandria), using Cu Kα (weighted mean of Kα1 and Kα2).
Kinematic intensities with the Lorentz-polarization factor, no thermal factor.

Top 8 peaks for 10° ≤ 2θ ≤ 90°, low angle first:
d/Å  2theta  I/Imax
5.528  16.03  31
3.908  22.75  28
3.191  27.96  68
2.764  32.39  100
1.954  46.46  72
1.667  55.10  34
1.596  57.78  25
1.236  77.17  32

Structure:
```
15
Lattice="5.5250 -5.5302 0.0000 5.5250 5.5302 0.0000 -5.5219 0.0000 5.5281" Properties=species:S:1:pos:R:3 pbc="T T T"
Y 0.0000 0.0000 0.0000
Y -2.7609 0.0000 2.7641
Y 2.7625 2.7651 0.0000
Y 2.7625 -2.7651 0.0000
Np 0.0016 2.7651 2.7641
Np 0.0016 -2.7651 2.7641
Np 2.7641 0.0000 2.7641
S -0.0129 0.0000 2.7672
S 2.7641 2.7740 2.7641
S 2.7705 0.0000 0.0019
S 5.5250 2.7587 0.0000
S 5.5250 -2.7587 0.0000
S 2.7576 0.0000 5.5262
S 2.7641 -2.7740 2.7641
S 5.5411 0.0000 2.7609
```


5.
The following is a theoretical X-ray powder pattern of Y3Np4S8. It was derived from a DFT-relaxed cell (PBE, Alexandria), using Cu Kα (weighted mean of Kα1 and Kα2).
Kinematic intensities with the Lorentz-polarization factor, no thermal factor.

Top 8 peaks for 10° ≤ 2θ ≤ 90°, low angle first:
d/Å  2theta  I/Imax
6.378  13.88  32
3.336  26.72  22
3.192  27.95  77
2.765  32.38  100
1.956  46.42  36
1.954  46.48  36
1.668  55.04  19
1.236  77.15  22

Structure:
```
15
Lattice="5.5285 -5.5273 0.0000 5.5285 5.5273 0.0000 -5.5093 0.0000 5.5326" Properties=species:S:1:pos:R:3 pbc="T T T"
Y 0.0000 0.0000 0.0000
Y 2.7643 2.7636 0.0000
Y 2.7643 -2.7636 0.0000
Np -2.7547 0.0000 2.7663
Np 0.0096 2.7636 2.7663
Np 0.0096 -2.7636 2.7663
Np 5.5285 0.0000 0.0000
S 0.0148 0.0000 2.7518
S 5.5285 2.7699 0.0000
S 2.7739 2.7550 2.7663
S 2.7663 0.0000 0.0291
S 2.7815 0.0000 5.5035
S 2.7739 -2.7550 2.7663
S 5.5285 -2.7699 0.0000
S 5.5330 0.0000 2.7808
```


6.
The following is a theoretical X-ray powder pattern of Zr2Np2S7. It was derived from a DFT-relaxed cell (PBE, Alexandria), using Cu Kα (weighted mean of Kα1 and Kα2).
Kinematic intensities with the Lorentz-polarization factor, no thermal factor.

Top 8 peaks for 10° ≤ 2θ ≤ 90°, low angle first:
d/Å  2theta  I/Imax
4.233  20.98  22
3.666  24.28  100
3.169  28.15  14
2.245  40.17  72
1.919  47.38  15
1.912  47.55  33
1.458  63.87  13
1.295  73.07  16

Structure:
```
11
Lattice="4.4823 0.0000 0.0000 0.0000 4.4823 0.0000 0.0000 0.0000 12.7383" Properties=species:S:1:pos:R:3 pbc="T T T"
Zr 0.0000 2.2411 1.5555
Zr 2.2411 0.0000 11.1828
Np 0.0000 2.2411 8.0881
Np 2.2411 0.0000 4.6502
S 0.0000 0.0000 0.0000
S 0.0000 0.0000 3.1972
S 0.0000 0.0000 9.5411
S 2.2411 2.2411 0.0000
S 2.2411 2.2411 3.0210
S 2.2411 2.2411 6.3692
S 2.2411 2.2411 9.7173
```


7.
The following is a theoretical X-ray powder pattern of ZrNpS2. It was derived from a DFT-relaxed cell (PBE, Alexandria), using Cu Kα (weighted mean of Kα1 and Kα2).
Kinematic intensities with the Lorentz-polarization factor, no thermal factor.

Top 8 peaks for 10° ≤ 2θ ≤ 90°, low angle first:
d/Å  2theta  I/Imax
6.085  14.56  26
3.254  27.41  20
3.109  28.72  64
3.043  29.35  20
2.678  33.47  100
1.909  47.64  37
1.878  48.47  35
1.617  56.94  20

Structure:
```
4
Lattice="1.9090 1.1022 6.0854 -1.9090 1.1022 6.0854 0.0000 -2.2043 6.0854" Properties=species:S:1:pos:R:3 pbc="T T T"
Zr 0.0000 0.0000 0.0000
Np 0.0000 0.0000 9.1281
S 0.0000 0.0000 4.6152
S 0.0000 0.0000 13.6411
```


8.
The following is a theoretical X-ray powder pattern of NpSb2. It was derived from a DFT-relaxed cell (PBE, Alexandria), using Cu Kα (weighted mean of Kα1 and Kα2).
Kinematic intensities with the Lorentz-polarization factor, no thermal factor.

Top 8 peaks for 10° ≤ 2θ ≤ 90°, low angle first:
d/Å  2theta  I/Imax
3.881  22.91  24
2.909  30.74  36
2.865  31.21  38
2.699  33.19  100
2.510  35.78  48
2.393  37.59  23
2.158  41.87  49
1.628  56.52  24

Structure:
```
12
Lattice="3.0913 -3.0605 0.0000 3.0913 3.0605 0.0000 0.0000 0.0000 17.1923" Properties=species:S:1:pos:R:3 pbc="T T T"
Np 3.0913 2.1958 15.3461
Np 3.0913 0.8647 6.7500
Np 3.0913 -0.8647 10.4424
Np 3.0913 -2.1958 1.8462
Sb 1.5457 0.7342 12.8943
Sb 3.0913 2.1957 9.8040
Sb 3.0913 0.8649 1.2078
Sb 1.5457 -0.7342 4.2981
Sb 4.6370 0.7342 12.8943
Sb 3.0913 -0.8649 15.9845
Sb 3.0913 -2.1957 7.3884
Sb 4.6370 -0.7342 4.2981
```


9.
The following is a theoretical X-ray powder pattern of Np4Sb3. It was derived from a DFT-relaxed cell (PBE, Alexandria), using Cu Kα (weighted mean of Kα1 and Kα2).
Kinematic intensities with the Lorentz-polarization factor, no thermal factor.

Top 8 peaks for 10° ≤ 2θ ≤ 90°, low angle first:
d/Å  2theta  I/Imax
3.756  23.69  23
2.910  30.73  100
2.459  36.54  88
1.878  48.47  29
1.805  50.58  27
1.493  62.19  28
1.455  64.00  14
1.420  65.77  18

Structure:
```
14
Lattice="-4.6007 4.6007 4.6007 4.6007 -4.6007 4.6007 4.6007 4.6007 -4.6007" Properties=species:S:1:pos:R:3 pbc="T T T"
Np 3.8726 0.7281 -0.7281
Np 6.1730 -1.5723 1.5723
Np 0.7281 0.7281 0.7281
Np 0.7281 -0.7281 3.8726
Np -0.7281 3.8726 0.7281
Np 1.5723 6.1730 -1.5723
Np 3.0285 3.0285 3.0285
Np -1.5723 1.5723 6.1730
Sb 6.9011 1.1502 0.0000
Sb 3.4506 0.0000 2.3004
Sb 2.3004 3.4506 0.0000
Sb 0.0000 2.3004 3.4506
Sb 1.1502 0.0000 6.9011
Sb 0.0000 6.9011 1.1502
```


10.
The following is a theoretical X-ray powder pattern of Np3Sb5. It was derived from a DFT-relaxed cell (PBE, Alexandria), using Cu Kα (weighted mean of Kα1 and Kα2).
Kinematic intensities with the Lorentz-polarization factor, no thermal factor.

Top 8 peaks for 10° ≤ 2θ ≤ 90°, low angle first:
d/Å  2theta  I/Imax
4.315  20.58  11
3.100  28.79  14
2.730  32.81  18
2.704  33.13  100
2.201  41.01  31
1.713  53.48  19
1.556  59.38  11
1.349  69.71  24

Structure:
```
8
Lattice="-2.2010 2.2010 10.9190 2.2010 -2.2010 10.9190 2.2010 2.2010 -10.9190" Properties=species:S:1:pos:R:3 pbc="T T T"
Np 0.0000 0.0000 0.0000
Np 0.0000 2.2010 3.1483
Np 0.0000 2.2010 7.7707
Sb 2.2010 0.0000 2.4270
Sb 0.0000 0.0000 5.4514
Sb 2.2010 0.0000 8.4920
Sb 0.0000 0.0000 10.9190
Sb 0.0000 0.0000 16.3865
```


11.
The following is a theoretical X-ray powder pattern of NpSc3Sb4. It was derived from a DFT-relaxed cell (PBE, Alexandria), using Cu Kα (weighted mean of Kα1 and Kα2).
Kinematic intensities with the Lorentz-polarization factor, no thermal factor.

Top 8 peaks for 10° ≤ 2θ ≤ 90°, low angle first:
d/Å  2theta  I/Imax
5.354  16.56  34
2.997  29.81  100
2.978  30.01  49
2.119  42.66  37
2.112  42.81  74
1.727  53.04  39
1.340  70.22  17
1.222  78.21  24

Structure:
```
8
Lattice="-2.9970 2.9970 5.9556 2.9970 -2.9970 5.9556 2.9970 2.9970 -5.9556" Properties=species:S:1:pos:R:3 pbc="T T T"
Np 0.0000 0.0000 0.0000
Sc 2.9970 0.0000 2.9778
Sc 0.0000 0.0000 5.9556
Sc 0.0000 2.9970 2.9778
Sb 2.9970 0.0000 0.0000
Sb 0.0000 0.0000 3.0309
Sb 0.0000 2.9970 0.0000
Sb 0.0000 0.0000 8.8804
```


12.
The following is a theoretical X-ray powder pattern of Sm2NpScSb4. It was derived from a DFT-relaxed cell (PBE, Alexandria), using Cu Kα (weighted mean of Kα1 and Kα2).
Kinematic intensities with the Lorentz-polarization factor, no thermal factor.

Top 8 peaks for 10° ≤ 2θ ≤ 90°, low angle first:
d/Å  2theta  I/Imax
3.097  28.83  100
2.191  41.20  50
2.187  41.27  25
1.787  51.11  20
1.550  59.67  8
1.386  67.59  17
1.384  67.68  11
1.264  75.14  15

Structure:
```
8
Lattice="7.5739 0.0000 0.0000 0.0000 4.3800 0.0000 -2.5093 0.0000 7.1619" Properties=species:S:1:pos:R:3 pbc="T T T"
Sm 0.0000 0.0000 0.0000
Sm 3.7870 2.1900 0.0000
Np -1.2547 2.1900 3.5809
Sc 2.5323 0.0000 3.5809
Sb 0.0642 0.0000 5.2971
Sb 1.3118 2.1900 1.9036
Sb 3.7528 2.1900 5.2583
Sb 5.0005 0.0000 1.8648
```


13.
The following is a theoretical X-ray powder pattern of TbSmNp2Sb4. It was derived from a DFT-relaxed cell (PBE, Alexandria), using Cu Kα (weighted mean of Kα1 and Kα2).
Kinematic intensities with the Lorentz-polarization factor, no thermal factor.

Top 8 peaks for 10° ≤ 2θ ≤ 90°, low angle first:
d/Å  2theta  I/Imax
3.123  28.58  100
2.215  40.73  39
2.202  40.99  38
1.800  50.73  21
1.562  59.16  13
1.400  66.81  18
1.393  67.18  18
1.274  74.48  13

Structure:
```
8
Lattice="7.6242 0.0000 0.0000 0.0000 4.4059 0.0000 -2.5445 0.0000 7.2577" Properties=species:S:1:pos:R:3 pbc="T T T"
Tb 0.0000 0.0000 0.0000
Sm 3.8121 2.2030 0.0000
Np -1.2723 2.2030 3.6289
Np 2.5398 0.0000 3.6289
Sb -0.0188 0.0000 5.4160
Sb 1.2542 2.2030 1.8300
Sb 3.8255 2.2030 5.4277
Sb 5.0984 0.0000 1.8418
```